Starting from DFT lattice parameters and positions (GGA-PBE), the powder diffraction line list of Mn3B8Mo3 was computed for Cu Kα X-rays.
Neutral-atom scattering factors, no anomalous dispersion.

Peak list (10 most intense, 2θ = 10–90°, in order of rising 2θ)
| d (Å) | Position (°2θ) | I (rel.) |
| --- | --- | --- |
| 3.041 | 29.4 | 60 |
| 2.504 | 35.9 | 90 |
| 2.198 | 41.1 | 27 |
| 2.071 | 43.7 | 100 |
| 2.016 | 45.0 | 57 |
| 1.819 | 50.1 | 21 |
| 1.326 | 71.1 | 24 |
| 1.315 | 71.8 | 21 |
| 1.215 | 78.8 | 22 |
| 1.119 | 87.1 | 17 |

Lattice parameters (Å, degrees): 3.0457 3.1255 13.1882 90.00 90.00 90.00
Space group Pmm2 (No. 25)
Symmetry-distinct sites (fractional):
Mn  0.0000  0.0000  0.0000
Mn  0.0000  0.0000  0.3632
Mn  0.5000  0.5000  0.8765
B  0.0000  0.0000  0.5493
B  0.0000  0.0000  0.8379
B  0.0000  0.5000  0.1116
B  0.0000  0.5000  0.2507
B  0.5000  0.0000  0.6256
B  0.5000  0.0000  0.7647
B  0.5000  0.5000  0.0374
B  0.5000  0.5000  0.3237
Mo  0.0000  0.5000  0.6943
Mo  0.5000  0.0000  0.1809
Mo  0.5000  0.5000  0.4987